Record 1
Diffraction record for K3Cd2Pb7. The powder diffraction line list is theoretical, not measured: it uses DFT lattice parameters and positions (GGA-PBE) and Cu Kα (λ = 1.5418 Å).
Kinematic intensities with the Lorentz-polarization factor, no thermal factor.

Peak list (12 most intense, 10 to 80 degrees two-theta, sorted by position)
2θ/deg  I (rel.)
15.1  100
17.5  34
30.1  44
30.5  36
31.4  95
33.4  76
35.4  36
36.5  69
49.2  27
53.1  40
65.4  36
66.2  30

```
K3Cd2Pb7
1.0
3.449 1.991 10.150
-3.449 1.991 10.150
0.000 -3.982 10.150
K Cd Pb
3 2 7
Direct
0.000 0.000 0.000
0.141 0.141 0.141
0.859 0.859 0.859
0.336 0.336 0.336
0.664 0.664 0.664
0.075 0.582 0.582
0.418 0.418 0.925
0.418 0.925 0.418
0.500 0.500 0.500
0.582 0.075 0.582
0.582 0.582 0.075
0.925 0.418 0.418
```



Record 2
Diffraction record for KCd3Pb. The powder diffraction line list is theoretical, not measured: it uses DFT lattice parameters and positions (GGA-PBE) and Cu Kα (λ = 1.5418 Å).
Kinematic intensities with the Lorentz-polarization factor, no thermal factor.

Peak list (12 most intense, 10 to 80 degrees two-theta, sorted by position)
2θ/deg  I (rel.)
12.7  45
19.0  30
29.9  100
32.1  26
37.5  69
38.5  48
38.8  14
50.9  12
55.6  16
55.8  18
64.4  21
69.0  21

```
KCd3Pb
1.0
13.929 0.000 0.000
0.000 6.608 0.000
0.000 0.000 6.614
K Cd Pb
4 12 4
Direct
0.250 0.000 0.018
0.250 0.500 0.482
0.750 0.000 0.982
0.750 0.500 0.518
0.007 0.250 0.250
0.147 0.002 0.522
0.147 0.498 0.978
0.353 0.502 0.978
0.353 0.998 0.522
0.493 0.750 0.250
0.507 0.250 0.750
0.647 0.002 0.478
0.647 0.498 0.022
0.853 0.502 0.022
0.853 0.998 0.478
0.993 0.750 0.750
0.008 0.750 0.250
0.492 0.250 0.250
0.508 0.750 0.750
0.992 0.250 0.750
```



Record 3
Diffraction record for K2Cd9Pb. The powder diffraction line list is theoretical, not measured: it uses DFT lattice parameters and positions (GGA-PBE) and Cu Kα (λ = 1.5418 Å).
Kinematic intensities with the Lorentz-polarization factor, no thermal factor.

Peak list (12 most intense, 10 to 80 degrees two-theta, sorted by position)
2θ/deg  I (rel.)
20.4  15
28.8  18
29.1  18
33.5  30
33.9  22
34.1  100
36.1  30
36.7  23
39.6  15
54.4  25
59.6  24
71.7  23

```
K2Cd9Pb
1.0
3.103 1.792 9.943
-3.103 1.792 9.943
0.000 -3.584 9.943
K Cd Pb
2 9 1
Direct
0.142 0.142 0.142
0.858 0.858 0.858
0.079 0.584 0.584
0.334 0.334 0.334
0.416 0.416 0.921
0.416 0.921 0.416
0.500 0.500 0.500
0.584 0.079 0.584
0.584 0.584 0.079
0.666 0.666 0.666
0.921 0.416 0.416
0.000 0.000 0.000
```



Record 4
Diffraction record for K16Cd12Pb. The powder diffraction line list is theoretical, not measured: it uses DFT lattice parameters and positions (GGA-PBE) and Cu Kα (λ = 1.5418 Å).
Kinematic intensities with the Lorentz-polarization factor, no thermal factor.

Peak list (12 most intense, 10 to 80 degrees two-theta, sorted by position)
2θ/deg  I (rel.)
10.0  51
15.2  65
16.9  58
27.5  51
28.8  64
29.2  70
29.9  100
30.8  60
32.1  59
32.4  66
33.1  47
36.2  50

```
K16Cd12Pb
1.0
6.679 -8.830 0.000
6.679 8.830 0.000
-5.472 0.000 9.775
K Cd Pb
16 12 1
Direct
0.000 0.000 0.000
0.010 0.638 0.988
0.050 0.050 0.606
0.318 0.690 0.282
0.321 0.903 0.624
0.327 0.327 0.291
0.328 0.662 0.875
0.341 0.341 0.668
0.638 0.010 0.988
0.662 0.328 0.875
0.667 0.881 0.256
0.690 0.318 0.282
0.704 0.960 0.656
0.881 0.667 0.256
0.903 0.321 0.624
0.960 0.704 0.656
0.006 0.186 0.330
0.143 0.507 0.464
0.154 0.336 0.955
0.186 0.006 0.330
0.336 0.154 0.955
0.346 0.991 0.136
0.467 0.644 0.606
0.480 0.480 0.088
0.507 0.143 0.464
0.623 0.623 0.412
0.644 0.467 0.606
0.991 0.346 0.136
0.673 0.673 0.890
```



Record 5
Diffraction record for KTl2CdPb. The powder diffraction line list is theoretical, not measured: it uses DFT lattice parameters and positions (GGA-PBE) and Cu Kα (λ = 1.5418 Å).
Kinematic intensities with the Lorentz-polarization factor, no thermal factor.

Peak list (12 most intense, 10 to 80 degrees two-theta, sorted by position)
2θ/deg  I (rel.)
13.9  49
18.4  22
18.5  21
27.1  21
28.0  100
34.3  33
34.6  32
37.3  89
39.3  23
49.5  31
57.7  19
79.5  20

```
KTl2CdPb
1.0
5.183 0.000 0.000
0.000 5.222 0.000
0.000 0.000 12.768
K Tl Cd Pb
2 4 2 2
Direct
0.000 0.000 0.000
0.500 0.500 0.500
0.000 0.000 0.390
0.000 0.500 0.246
0.500 0.000 0.746
0.500 0.500 0.890
0.000 0.000 0.618
0.500 0.500 0.118
0.000 0.500 0.746
0.500 0.000 0.246
```



Record 6
Diffraction record for KCd3Pd2. The powder diffraction line list is theoretical, not measured: it uses DFT lattice parameters and positions (GGA-PBE) and Cu Kα (λ = 1.5418 Å).
Kinematic intensities with the Lorentz-polarization factor, no thermal factor.

Peak list (12 most intense, 10 to 80 degrees two-theta, sorted by position)
2θ/deg  I (rel.)
12.6  69
15.8  59
29.6  20
30.0  31
32.0  27
36.4  37
40.0  100
40.1  23
40.3  29
41.6  37
43.4  22
44.5  17

```
KCd3Pd2
1.0
5.594 -4.498 0.000
5.594 4.498 0.000
0.000 0.000 5.897
K Cd Pd
2 6 4
Direct
0.140 0.860 0.750
0.860 0.140 0.250
0.030 0.562 0.250
0.438 0.970 0.250
0.457 0.543 0.250
0.543 0.457 0.750
0.562 0.030 0.750
0.970 0.438 0.750
0.292 0.292 0.000
0.292 0.292 0.500
0.708 0.708 0.000
0.708 0.708 0.500
```



Record 7
Diffraction record for KCd9Pd2. The powder diffraction line list is theoretical, not measured: it uses DFT lattice parameters and positions (GGA-PBE) and Cu Kα (λ = 1.5418 Å).
Kinematic intensities with the Lorentz-polarization factor, no thermal factor.

Peak list (12 most intense, 10 to 80 degrees two-theta, sorted by position)
2θ/deg  I (rel.)
13.7  31
14.9  22
33.2  48
33.7  43
35.7  21
38.2  20
38.9  33
39.6  100
41.2  38
59.9  16
64.2  17
66.7  12

```
KCd9Pd2
1.0
-5.953 5.953 3.859
5.953 -5.953 3.859
5.953 5.953 -3.859
K Cd Pd
2 18 4
Direct
0.375 0.625 0.750
0.625 0.375 0.250
0.125 0.875 0.250
0.140 0.566 0.332
0.140 0.809 0.574
0.191 0.266 0.332
0.191 0.860 0.926
0.266 0.191 0.832
0.266 0.434 0.074
0.434 0.266 0.574
0.434 0.860 0.168
0.566 0.140 0.832
0.566 0.734 0.426
0.734 0.566 0.926
0.734 0.809 0.168
0.809 0.140 0.074
0.809 0.734 0.668
0.860 0.191 0.426
0.860 0.434 0.668
0.875 0.125 0.750
0.000 0.000 0.000
0.000 0.000 0.500
0.000 0.500 0.000
0.500 0.000 0.500
```



Record 8
Diffraction record for K2Cd5Pd. The powder diffraction line list is theoretical, not measured: it uses DFT lattice parameters and positions (GGA-PBE) and Cu Kα (λ = 1.5418 Å).
Kinematic intensities with the Lorentz-polarization factor, no thermal factor.

Peak list (12 most intense, 10 to 80 degrees two-theta, sorted by position)
2θ/deg  I (rel.)
14.1  55
15.6  49
31.5  100
32.3  16
34.8  19
40.1  44
40.4  50
42.7  14
52.3  16
58.0  14
67.5  20
73.0  16

```
K2Cd5Pd
1.0
6.361 0.000 0.000
0.000 6.361 0.000
0.000 0.000 12.558
K Cd Pd
4 10 2
Direct
0.000 0.500 0.000
0.000 0.500 0.500
0.500 0.000 0.000
0.500 0.000 0.500
0.000 0.000 0.109
0.248 0.248 0.761
0.248 0.752 0.761
0.252 0.252 0.261
0.252 0.748 0.261
0.500 0.500 0.609
0.748 0.252 0.261
0.748 0.748 0.261
0.752 0.248 0.761
0.752 0.752 0.761
0.000 0.000 0.889
0.500 0.500 0.389
```